Th2Zn6Ni3: computed powder X-ray diffraction pattern (Cu Ka), based on a PBE-relaxed structure.
No peak broadening, texture or thermal motion is included.

```
data_Th2Zn6Ni3
_cell_length_a 7.557
_cell_length_b 7.557
_cell_length_c 3.861
_cell_angle_alpha 90.00
_cell_angle_beta 90.00
_cell_angle_gamma 120.00
_symmetry_space_group_name_H-M 'P 1'
_symmetry_Int_Tables_number 1
_symmetry_space_group_name_Hall 'P 1'
loop_
_atom_site_label
_atom_site_type_symbol
_atom_site_fract_x
_atom_site_fract_y
_atom_site_fract_z
Th1 Th 0.333 0.667 0.000
Th2 Th 0.667 0.333 0.000
Zn1 Zn 0.000 0.195 0.000
Zn2 Zn 0.000 0.721 0.500
Zn3 Zn 0.195 0.000 0.000
Zn4 Zn 0.279 0.279 0.500
Zn5 Zn 0.721 0.000 0.500
Zn6 Zn 0.805 0.805 0.000
Ni1 Ni 0.000 0.394 0.500
Ni2 Ni 0.394 0.000 0.500
Ni3 Ni 0.606 0.606 0.500
```

The 10 most intense peaks (10 to 90 degrees two-theta), sorted by position:
- (1 1 0), 2θ 23.5, I = 21
- (1 1 1), 2θ 33.2, I = 100
- (2 0 1), 2θ 36.0, I = 18
- (2 1 0), 2θ 36.3, I = 27
- (3 0 0), 2θ 41.4, I = 30
- (2 1 1), 2θ 43.5, I = 44
- (0 0 2), 2θ 47.1, I = 18
- (2 2 1), 2θ 54.0, I = 15
- (3 0 2), 2θ 64.5, I = 16
- (4 1 1), 2θ 70.3, I = 22